1.
# La2BePt2
Simulated powder diffraction line list, Cu Kα, 1.54184 Å. Input: the GGA-PBE geometry in Alexandria.
Intensities are scaled so that the largest is 100.

Largest 6 diffraction maxima, by intensity, 2θ = 10–80°:
34.5°, d 2.599, I = 100; 16.8°, d 5.269, I = 26; 38.2°, d 2.357, I = 19; 71.9°, d 1.313, I = 14; 23.9°, d 3.726, I = 12; 43.6°, d 2.076, I = 12

```
data_La2BePt2
_symmetry_space_group_name_H-M 'P 4/m b m'
_symmetry_Int_Tables_number 127
_symmetry_space_group_name_Hall '-P 4 2ab'
_cell_length_a 7.4522
_cell_length_b 7.4522
_cell_length_c 4.1518
_cell_angle_alpha 90.00
_cell_angle_beta 90.00
_cell_angle_gamma 90.00
loop_
_atom_site_label
_atom_site_type_symbol
_atom_site_fract_x
_atom_site_fract_y
_atom_site_fract_z
La1 La 0.1718 0.3282 0.0000
Be1 Be 0.0000 0.0000 0.5000
Pt1 Pt 0.1399 0.6399 0.5000
```

---

2.
# Rb2LaNb2O8
Simulated powder diffraction line list, Cu Kα, 1.54184 Å. Input: the GGA-PBE geometry in Alexandria.
Intensities are scaled so that the largest is 100.

Largest 6 diffraction maxima, by intensity, 2θ = 10–80°:
29.3°, d 3.052, I = 100; 32.3°, d 2.769, I = 58; 25.8°, d 3.451, I = 44; 46.4°, d 1.958, I = 32; 55.8°, d 1.648, I = 32; 45.1°, d 2.010, I = 22

```
data_Rb2LaNb2O8
_symmetry_space_group_name_H-M 'P 4/m m m'
_symmetry_Int_Tables_number 123
_symmetry_space_group_name_Hall '-P 4 2'
_cell_length_a 3.9159
_cell_length_b 3.9159
_cell_length_c 14.6107
_cell_angle_alpha 90.00
_cell_angle_beta 90.00
_cell_angle_gamma 90.00
loop_
_atom_site_label
_atom_site_type_symbol
_atom_site_fract_x
_atom_site_fract_y
_atom_site_fract_z
Rb1 Rb 0.0000 0.0000 0.1163
La1 La 0.0000 0.0000 0.5000
Nb1 Nb 0.5000 0.5000 0.3413
O1 O 0.0000 0.5000 0.3720
O2 O 0.5000 0.5000 0.0000
O3 O 0.5000 0.5000 0.2175
O4 O 0.5000 0.5000 0.5000
```

---

3.
# ZnHIr
Simulated powder diffraction line list, Cu Kα, 1.54184 Å. Input: the GGA-PBE geometry in Alexandria.
Intensities are scaled so that the largest is 100.

Largest 6 diffraction maxima, by intensity, 2θ = 10–80°:
20.5°, d 4.343, I = 100; 28.4°, d 3.144, I = 72; 39.2°, d 2.299, I = 71; 40.6°, d 2.220, I = 67; 40.4°, d 2.233, I = 59; 42.5°, d 2.127, I = 56

```
data_ZnHIr
_symmetry_space_group_name_H-M 'P -1'
_symmetry_Int_Tables_number 2
_cell_length_a 3.9646
_cell_length_b 4.5710
_cell_length_c 4.7787
_cell_angle_alpha 89.32
_cell_angle_beta 67.23
_cell_angle_gamma 66.43
loop_
_symmetry_equiv_pos_as_xyz
'x,y,z'
'-x,-y,-z'
loop_
_atom_site_label
_atom_site_type_symbol
_atom_site_fract_x
_atom_site_fract_y
_atom_site_fract_z
Zn1 Zn 0.2190 0.3510 0.1750
H1 H 0.0338 0.9152 0.2712
Ir1 Ir 0.3941 0.7728 0.4168
```

---

4.
# LiTm2PaSe6
Simulated powder diffraction line list, Cu Kα, 1.54184 Å. Input: the GGA-PBE geometry in Alexandria.
Intensities are scaled so that the largest is 100.

Largest 6 diffraction maxima, by intensity, 2θ = 10–80°:
38.0°, d 2.366, I = 100; 13.3°, d 6.677, I = 76; 23.0°, d 3.861, I = 74; 32.8°, d 2.728, I = 58; 29.8°, d 2.994, I = 36; 51.1°, d 1.788, I = 27

```
data_LiTm2PaSe6
_symmetry_space_group_name_H-M 'P 4 m m'
_symmetry_Int_Tables_number 99
_cell_length_a 6.6987
_cell_length_b 6.6987
_cell_length_c 6.6676
_cell_angle_alpha 90.00
_cell_angle_beta 90.00
_cell_angle_gamma 90.00
loop_
_symmetry_equiv_pos_as_xyz
'x,y,z'
'-y,x,z'
'-x,-y,z'
'y,-x,z'
'-x,y,z'
'y,x,z'
'x,-y,z'
'-y,-x,z'
loop_
_atom_site_label
_atom_site_type_symbol
_atom_site_fract_x
_atom_site_fract_y
_atom_site_fract_z
Li1 Li 0.0000 0.0000 0.0000
Tm1 Tm 0.0000 0.5000 0.4413
Pa1 Pa 0.5000 0.5000 0.0537
Se1 Se 0.0000 0.0000 0.6330
Se2 Se 0.2389 0.2389 0.2116
Se3 Se 0.5000 0.5000 0.6395
```

---

5.
# Ce2TlIn4
Simulated powder diffraction line list, Cu Kα, 1.54184 Å. Input: the GGA-PBE geometry in Alexandria.
Intensities are scaled so that the largest is 100.

Largest 6 diffraction maxima, by intensity, 2θ = 10–80°:
32.8°, d 2.729, I = 100; 33.5°, d 2.677, I = 47; 28.0°, d 3.184, I = 44; 41.8°, d 2.159, I = 39; 34.8°, d 2.577, I = 28; 59.4°, d 1.555, I = 26

```
data_Ce2TlIn4
_symmetry_space_group_name_H-M 'C m c e'
_symmetry_Int_Tables_number 64
_symmetry_space_group_name_Hall '-C 2ac 2'
_cell_length_a 11.7630
_cell_length_b 6.3428
_cell_length_c 10.7073
_cell_angle_alpha 90.00
_cell_angle_beta 90.00
_cell_angle_gamma 90.00
loop_
_atom_site_label
_atom_site_type_symbol
_atom_site_fract_x
_atom_site_fract_y
_atom_site_fract_z
Ce1 Ce 0.1165 0.0000 0.0000
Tl1 Tl 0.0000 0.0000 0.5000
In1 In 0.0000 0.2503 0.2500
In2 In 0.2500 0.2488 0.2500
```

---

6.
# Nb2GaRh5
Simulated powder diffraction line list, Cu Kα, 1.54184 Å. Input: the GGA-PBE geometry in Alexandria.
Intensities are scaled so that the largest is 100.

Largest 6 diffraction maxima, by intensity, 2θ = 10–80°:
40.1°, d 2.246, I = 100; 39.6°, d 2.273, I = 73; 47.1°, d 1.929, I = 41; 45.0°, d 2.016, I = 39; 40.5°, d 2.225, I = 35; 67.2°, d 1.394, I = 28

```
data_Nb2GaRh5
_symmetry_space_group_name_H-M 'P b a m'
_symmetry_Int_Tables_number 55
_cell_length_a 5.5048
_cell_length_b 10.8186
_cell_length_c 4.0330
_cell_angle_alpha 90.00
_cell_angle_beta 90.00
_cell_angle_gamma 90.00
loop_
_symmetry_equiv_pos_as_xyz
'x,y,z'
'-x,-y,-z'
'-x,-y,z'
'x,y,-z'
'x+1/2,-y+1/2,-z'
'-x+1/2,y+1/2,z'
'-x+1/2,y+1/2,-z'
'x+1/2,-y+1/2,z'
loop_
_atom_site_label
_atom_site_type_symbol
_atom_site_fract_x
_atom_site_fract_y
_atom_site_fract_z
Nb1 Nb 0.1879 0.1399 0.0000
Ga1 Ga 0.0000 0.5000 0.5000
Rh1 Rh 0.0000 0.0000 0.5000
Rh2 Rh 0.0585 0.7457 0.5000
Rh3 Rh 0.2006 0.3889 0.0000
```

---

7.
# Ac2HgPd6Pb3
Simulated powder diffraction line list, Cu Kα, 1.54184 Å. Input: the GGA-PBE geometry in Alexandria.
Intensities are scaled so that the largest is 100.

Largest 6 diffraction maxima, by intensity, 2θ = 10–80°:
25.8°, d 3.454, I = 100; 42.9°, d 2.110, I = 59; 42.5°, d 2.126, I = 54; 29.7°, d 3.006, I = 42; 41.4°, d 2.180, I = 38; 50.4°, d 1.810, I = 34

```
data_Ac2HgPd6Pb3
_symmetry_space_group_name_H-M 'P 4/m m m'
_symmetry_Int_Tables_number 123
_symmetry_space_group_name_Hall '-P 4 2'
_cell_length_a 4.2512
_cell_length_b 4.2512
_cell_length_c 17.7700
_cell_angle_alpha 90.00
_cell_angle_beta 90.00
_cell_angle_gamma 90.00
loop_
_atom_site_label
_atom_site_type_symbol
_atom_site_fract_x
_atom_site_fract_y
_atom_site_fract_z
Ac1 Ac 0.0000 0.0000 0.1896
Hg1 Hg 0.0000 0.0000 0.5000
Pd1 Pd 0.0000 0.5000 0.3988
Pd2 Pd 0.5000 0.5000 0.1492
Pb1 Pb 0.5000 0.5000 0.0000
Pb2 Pb 0.5000 0.5000 0.3053
```

---

Q: Number 3 is which compound?
A: ZnHIr